Computed X-ray diffraction stick pattern
Compound: K3Ag9Sb4S12
Radiation: Cu Kα (weighted mean of Kα1 and Kα2)
Structure: the PBE geometry in the Materials Project
Kinematic intensities with the Lorentz-polarization factor, no thermal factor.

Structure:
Cell: 11.023 11.023 11.789 Å, 90.00 90.00 90.00°
Space group I-4 (No. 82)
Unique sites:
K 0.000 0.000 0.000 (multiplicity 2)
K 0.000 0.000 0.333 (multiplicity 4)
Ag 0.000 0.500 0.750 (multiplicity 2)
Ag 0.162 0.336 0.329 (multiplicity 8)
Ag 0.175 0.677 0.836 (multiplicity 8)
Sb 0.115 0.624 0.491 (multiplicity 8)
S 0.048 0.250 0.160 (multiplicity 8)
S 0.050 0.268 0.841 (multiplicity 8)
S 0.164 0.184 0.496 (multiplicity 8)

Main lines, low angle first (15 to 90 degrees two-theta):
h k l, Position (°2θ), d (Å), I/Imax
1 3 0, 25.56, 3.486, 31
1 2 3, 29.06, 3.073, 100
2 3 1, 30.20, 2.959, 18
1 4 1, 34.40, 2.607, 17
3 3 0, 34.52, 2.598, 18
4 1 3, 40.82, 2.210, 26
5 1 2, 44.65, 2.030, 11
0 0 6, 46.20, 1.965, 11
2 5 3, 50.26, 1.815, 23
1 3 6, 53.54, 1.712, 13